Diffraction record for V2CoO6. The X-ray powder pattern is computed, not measured: it uses the GGA+U geometry in the Materials Project and Cu Kα X-rays.

Atomic structure:
```
V2CoO6
1.0
5.0892 -4.5417 0.0000
5.0892 4.5417 0.0000
-2.1309 0.0000 5.4883
V Co O
4 2 12
direct
0.1132 0.2947 0.2447
0.2947 0.1132 0.7447
0.7053 0.8868 0.2553
0.8868 0.7053 0.7553
0.4139 0.5861 0.7500
0.5861 0.4139 0.2500
0.1185 0.5876 0.7742
0.1293 0.1497 0.9455
0.1497 0.1293 0.4455
0.3070 0.4635 0.3647
0.4124 0.8815 0.7258
0.4635 0.3070 0.8647
0.5365 0.6930 0.1353
0.5876 0.1185 0.2742
0.6930 0.5365 0.6353
0.8503 0.8707 0.5545
0.8707 0.8503 0.0545
0.8815 0.4124 0.2258
```

Main lines, sorted by position (15 to 90 degrees two-theta):
- 2θ = 18.30°, intensity 43.7
- 2θ = 19.55°, intensity 46.1
- 2θ = 23.59°, intensity 23.8
- 2θ = 27.98°, intensity 100.0
- 2θ = 29.91°, intensity 60.4
- 2θ = 32.63°, intensity 43.5
- 2θ = 35.21°, intensity 25.3
- 2θ = 44.74°, intensity 23.9
- 2θ = 50.69°, intensity 17.9
- 2θ = 54.31°, intensity 18.8